Record 1
The following is a calculated powder diffraction line list of Ce2AlIr. It was derived from a crystal structure in Alexandria, relaxed with PBE, using Cu Kα, 1.54184 Å.

Atomic structure:
Lattice parameters (Å, degrees): 3.7478 3.7478 6.3785 90.00 90.00 90.00
Space group P4/mmm (No. 123)
One atom of each set of equivalent atoms:
Ce 0.0000 0.0000 0.2221
Al 0.5000 0.5000 0.5000
Ir 0.5000 0.5000 0.0000

Top 8 peaks for 5° ≤ 2θ ≤ 70°, in order of falling intensity:
| d_spacing | two_theta | intensity | hkl |
| --- | --- | --- | --- |
| 2.429 | 37.0 | 100.0 | 1 0 2 |
| 2.650 | 33.8 | 68.4 | 1 1 0 |
| 6.378 | 13.9 | 50.6 | 0 0 1 |
| 1.484 | 62.6 | 43.3 | 2 1 2 |
| 1.874 | 48.6 | 24.8 | 2 0 0 |
| 2.447 | 36.7 | 19.9 | 1 1 1 |
| 1.849 | 49.3 | 17.9 | 1 0 3 |
| 1.366 | 68.7 | 13.2 | 1 1 4 |

=====

Record 2
The following is a calculated powder diffraction line list of LaMgSn2. It was derived from a crystal structure in Alexandria, relaxed with PBE, using Cu Kα, 1.54184 Å.

Atomic structure:
Lattice parameters (Å, degrees): 4.8454 4.8454 4.5838 90.00 90.00 90.00
Space group P4/mmm (No. 123)
One atom of each set of equivalent atoms:
La 0.0000 0.0000 0.0000
Mg 0.5000 0.5000 0.0000
Sn 0.0000 0.5000 0.5000

Top 8 peaks for 5° ≤ 2θ ≤ 70°, in order of falling intensity:
| d_spacing | two_theta | intensity | hkl |
| --- | --- | --- | --- |
| 2.744 | 32.6 | 100.0 | 1 1 1 |
| 2.423 | 37.1 | 35.4 | 2 0 0 |
| 1.453 | 64.1 | 29.3 | 3 1 1 |
| 1.665 | 55.2 | 22.8 | 2 0 2 |
| 4.845 | 18.3 | 15.4 | 1 0 0 |
| 2.292 | 39.3 | 15.1 | 0 0 2 |
| 1.395 | 67.1 | 12.8 | 1 1 3 |
| 1.713 | 53.5 | 12.5 | 2 2 0 |

=====

Record 3
The following is a calculated powder diffraction line list of Nd3Dy2Er7. It was derived from a crystal structure in Alexandria, relaxed with PBE, using Cu Kα, 1.54184 Å.

Atomic structure:
Lattice parameters (Å, degrees): 6.3170 3.5197 17.4693 90.00 96.31 90.00
Space group P2/m (No. 10)
One atom of each set of equivalent atoms:
Nd 0.0000 0.0000 0.0000
Nd 0.0471 0.5000 0.6587
Dy 0.4439 0.0000 0.3258
Er 0.2295 0.5000 0.1653
Er 0.2471 0.0000 0.5003
Er 0.2763 0.0000 0.8343
Er 0.5000 0.5000 0.0000

Top 8 peaks for 5° ≤ 2θ ≤ 70°, in order of falling intensity:
| d_spacing | two_theta | intensity | hkl |
| --- | --- | --- | --- |
| 2.895 | 30.9 | 100.0 | 0 0 6 |
| 2.847 | 31.4 | 58.1 | 1 1 2 |
| 2.573 | 34.9 | 41.2 | 1 1 -4 |
| 2.641 | 33.9 | 35.6 | 2 0 3 |
| 2.996 | 29.8 | 29.0 | 1 1 1 |
| 1.504 | 61.7 | 28.1 | 0 2 6 |
| 1.730 | 52.9 | 22.8 | 2 0 -9 |
| 1.807 | 50.5 | 19.7 | 3 1 -1 |